(1)
Starting from a structure optimized by DFT (PBE), the powder XRD pattern of U3Co3Sb4 was simulated for copper Kα.
Intensities are scaled so that the largest is 100.

```
U3Co3Sb4
1.0
-4.6346 4.6346 4.6346
4.6346 -4.6346 4.6346
4.6346 4.6346 -4.6346
U Co Sb
6 6 8
Cartesian
4.6346 -2.3173 3.4759 U
3.4759 4.6346 -2.3173 U
4.6346 2.3173 1.1586 U
2.3173 1.1586 4.6346 U
1.1586 4.6346 2.3173 U
-2.3173 3.4759 4.6346 U
6.9519 1.1586 0.0000 Co
3.4759 0.0000 2.3173 Co
2.3173 3.4759 0.0000 Co
0.0000 2.3173 3.4759 Co
1.1586 0.0000 6.9519 Co
0.0000 6.9519 1.1586 Co
3.0883 1.5463 -1.5463 Sb
5.4056 -0.7710 0.7710 Sb
1.5463 -1.5463 3.0883 Sb
1.5463 1.5463 1.5463 Sb
-1.5463 3.0883 1.5463 Sb
0.7710 5.4056 -0.7710 Sb
-0.7710 0.7710 5.4056 Sb
3.8636 3.8636 3.8636 Sb
```

Main lines, low angle first (2θ from 5° to 70°):
23.5 deg, rel. 17; 30.5 deg, rel. 66; 36.3 deg, rel. 100; 43.7 deg, rel. 43; 45.9 deg, rel. 16; 61.7 deg, rel. 26


(2)
Starting from a structure optimized by DFT (PBE), the powder XRD pattern of RbCo3Ge5 was simulated for copper Kα.
Intensities are scaled so that the largest is 100.

```
RbCo3Ge5
1.0
4.9228 0.0000 0.0000
-2.4614 4.2633 0.0000
0.0000 0.0000 8.6217
Rb Co Ge
1 3 5
Cartesian
0.0000 0.0000 0.0000 Rb
-1.2307 2.1316 4.3108 Co
2.4614 0.0000 4.3108 Co
1.2307 2.1316 4.3108 Co
0.0000 0.0000 4.3108 Ge
0.0000 2.8422 2.3354 Ge
0.0000 2.8422 6.2863 Ge
2.4614 1.4211 2.3354 Ge
2.4614 1.4211 6.2863 Ge
```

Main lines, low angle first (2θ from 5° to 70°):
10.3 deg, rel. 100; 29.5 deg, rel. 65; 36.5 deg, rel. 49; 41.9 deg, rel. 25; 47.6 deg, rel. 68; 56.8 deg, rel. 22


(3)
Starting from a structure optimized by DFT (PBE), the powder XRD pattern of Dy2YMg3Tl2Hg was simulated for copper Kα.
Intensities are scaled so that the largest is 100.

```
Dy2YMg3Tl2Hg
1.0
4.5992 0.0000 0.0000
0.0000 6.5176 3.7597
0.0000 -6.5176 3.7597
Dy Y Mg Tl Hg
2 1 3 2 1
Cartesian
0.0000 -3.7748 3.7597 Dy
0.0000 3.7748 3.7597 Dy
0.0000 0.0000 2.7726 Y
2.2996 0.0000 0.2133 Mg
2.2996 -1.5558 5.0407 Mg
2.2996 1.5558 5.0407 Mg
2.2996 -2.1764 2.1771 Tl
2.2996 2.1764 2.1771 Tl
0.0000 0.0000 5.9438 Hg
```

Main lines, low angle first (2θ from 5° to 70°):
23.7 deg, rel. 85; 30.7 deg, rel. 52; 33.7 deg, rel. 100; 39.2 deg, rel. 26; 41.6 deg, rel. 67; 65.7 deg, rel. 39


(4)
Starting from a structure optimized by DFT (PBE), the powder XRD pattern of AgBH6Au was simulated for copper Kα.
Intensities are scaled so that the largest is 100.

```
AgBH6Au
1.0
0.0000 3.3167 3.3167
3.3167 0.0000 3.3167
3.3167 3.3167 0.0000
Ag B H Au
1 1 6 1
Cartesian
0.0000 0.0000 0.0000 Ag
4.9751 4.9751 4.9751 B
3.3167 3.3167 1.8239 H
3.3167 1.8239 3.3167 H
4.8095 3.3167 3.3167 H
1.8239 3.3167 3.3167 H
3.3167 4.8095 3.3167 H
3.3167 3.3167 4.8095 H
1.6584 1.6584 1.6584 Au
```

Main lines, low angle first (2θ from 5° to 70°):
23.2 deg, rel. 100; 38.4 deg, rel. 87; 45.3 deg, rel. 53; 55.4 deg, rel. 15; 60.9 deg, rel. 22; 69.4 deg, rel. 30


(5)
Starting from a structure optimized by DFT (PBE), the powder XRD pattern of TbGeTe was simulated for copper Kα.
Intensities are scaled so that the largest is 100.

```
TbGeTe
1.0
0.0000 3.5410 3.5410
3.5410 0.0000 3.5410
3.5410 3.5410 0.0000
Tb Ge Te
1 1 1
Cartesian
0.0000 0.0000 0.0000 Tb
3.5410 3.5410 3.5410 Ge
5.3115 5.3115 5.3115 Te
```

Main lines, low angle first (2θ from 5° to 70°):
21.7 deg, rel. 42; 25.1 deg, rel. 12; 35.9 deg, rel. 100; 42.3 deg, rel. 22; 51.6 deg, rel. 18; 64.5 deg, rel. 36


(6)
Starting from a structure optimized by DFT (PBE), the powder XRD pattern of SmAuSeO was simulated for copper Kα.
Intensities are scaled so that the largest is 100.

```
SmAuSeO
1.0
19.1638 0.0000 0.0000
0.0000 2.8643 2.8713
0.0000 -2.8643 2.8713
Sm Au Se O
4 4 4 4
Cartesian
1.1470 -1.4316 2.8713 Sm
8.4349 1.4327 2.8713 Sm
10.7288 -1.4327 2.8713 Sm
18.0168 1.4316 2.8713 Sm
4.7878 0.0123 0.0156 Au
4.7941 0.0123 2.8869 Au
14.3759 -0.0123 0.0156 Au
14.3697 -0.0123 2.8869 Au
2.7008 1.4393 2.8753 Se
6.8811 -1.4250 2.8753 Se
12.2827 1.4250 2.8753 Se
16.4630 -1.4393 2.8753 Se
0.0000 0.0000 1.4359 O
0.0000 0.0000 4.3073 O
9.5819 0.0000 1.4359 O
9.5819 0.0000 4.3072 O
```

Main lines, low angle first (2θ from 5° to 70°):
9.2 deg, rel. 62; 28.8 deg, rel. 95; 31.1 deg, rel. 100; 32.6 deg, rel. 95; 36.5 deg, rel. 71; 45.7 deg, rel. 78


(7)
Starting from a structure optimized by DFT (PBE), the powder XRD pattern of K2YNb5O15 was simulated for copper Kα.
Intensities are scaled so that the largest is 100.

```
K2YNb5O15
1.0
5.1794 -7.6601 0.0000
5.1794 7.6601 0.0000
0.0000 0.0000 3.9365
K Y Nb O
2 1 5 15
Cartesian
5.1794 4.5933 0.0000 K
5.1794 -4.5933 0.0000 K
5.1794 0.0000 0.0000 Y
0.0000 0.0000 1.9683 Nb
3.2328 1.9913 1.9683 Nb
3.2328 -1.9913 1.9683 Nb
7.1260 1.9913 1.9683 Nb
7.1260 -1.9913 1.9683 Nb
0.0000 0.0000 0.0000 O
2.5897 3.8301 1.9683 O
1.3915 1.4335 1.9683 O
3.5034 1.7707 0.0000 O
1.3915 -1.4335 1.9683 O
5.1794 2.5511 1.9683 O
3.8733 0.0000 1.9683 O
3.5034 -1.7707 0.0000 O
2.5897 -3.8301 1.9683 O
6.8554 1.7707 0.0000 O
6.4855 0.0000 1.9683 O
5.1794 -2.5511 1.9683 O
8.9673 1.4335 1.9683 O
6.8554 -1.7707 0.0000 O
8.9673 -1.4335 1.9683 O
```

Main lines, low angle first (2θ from 5° to 70°):
22.6 deg, rel. 63; 28.5 deg, rel. 54; 29.0 deg, rel. 100; 29.9 deg, rel. 85; 35.1 deg, rel. 53; 53.1 deg, rel. 60


(8)
Starting from a structure optimized by DFT (PBE), the powder XRD pattern of Ga8BIr4 was simulated for copper Kα.
Intensities are scaled so that the largest is 100.

```
Ga8BIr4
1.0
-4.3103 4.3103 10.6321
4.3103 -4.3103 10.6321
4.3103 4.3103 -10.6321
Ga B Ir
32 4 16
Cartesian
6.7590 -1.5959 4.0617 Ga
0.5592 -0.2935 1.2543 Ga
4.8695 0.2935 1.2543 Ga
2.4486 -1.5959 6.5704 Ga
1.8471 1.6256 -1.3177 Ga
0.5296 -0.3081 3.9984 Ga
4.8399 0.3081 3.9984 Ga
2.4633 -1.6256 9.3145 Ga
2.4633 1.6256 1.3177 Ga
4.8399 -0.3081 6.6337 Ga
0.5296 0.3081 6.6337 Ga
1.8471 -1.6256 11.9498 Ga
2.4486 1.5959 4.0617 Ga
0.5592 4.0168 -1.2543 Ga
0.5592 0.2935 9.3778 Ga
2.4486 5.9063 -4.0617 Ga
1.8617 -1.5959 14.6939 Ga
3.7511 4.0168 1.2543 Ga
3.7511 0.2935 11.8864 Ga
1.8617 2.7144 6.5704 Ga
2.4633 5.9359 -1.3177 Ga
3.7808 4.0022 3.9984 Ga
-0.5296 4.6184 3.9984 Ga
1.8471 2.6847 9.3145 Ga
1.8471 5.9359 1.3177 Ga
-0.5296 4.0022 6.6337 Ga
3.7808 4.6184 6.6337 Ga
2.4633 2.6847 11.9498 Ga
1.8617 5.9063 4.0617 Ga
-0.5592 4.0168 9.3778 Ga
3.7511 4.6038 9.3778 Ga
-2.4486 5.9063 6.5704 Ga
4.3103 2.1552 -2.6580 B
0.0000 2.1552 2.6580 B
4.3103 2.1552 7.9741 B
0.0000 2.1552 13.2901 B
4.3103 2.1552 -4.8259 Ir
2.7946 -0.6395 2.6580 Ir
7.1050 0.6395 2.6580 Ir
4.3103 2.1552 -0.4901 Ir
0.0000 2.1552 0.4901 Ir
2.7946 3.6708 -2.6580 Ir
2.7946 0.6395 7.9741 Ir
0.0000 2.1552 4.8259 Ir
4.3103 2.1552 5.8062 Ir
1.5157 3.6708 2.6580 Ir
1.5157 0.6395 13.2901 Ir
4.3103 2.1552 10.1420 Ir
0.0000 2.1552 11.1223 Ir
-2.7946 3.6708 7.9741 Ir
1.5157 4.9498 7.9741 Ir
0.0000 2.1552 15.4580 Ir
```

Main lines, low angle first (2θ from 5° to 70°):
26.6 deg, rel. 100; 41.8 deg, rel. 67; 43.5 deg, rel. 46; 45.2 deg, rel. 43; 45.3 deg, rel. 38; 45.4 deg, rel. 44